(1)
This entry pairs a crystal structure of Be3Fe4 with its simulated X-ray powder pattern. Radiation: Cu Kα X-rays. Structure: a cell relaxed with GGA-PBE.

Structure:
Lattice parameters (Å, degrees): 4.213 4.213 4.358 90.00 90.00 120.00
Positions (direct):
1 Be 0.000 0.500 0.000
2 Be 0.500 0.000 0.000
3 Be 0.500 0.500 0.000
4 Fe 0.000 0.000 0.253
5 Fe 0.000 0.000 0.747
6 Fe 0.333 0.667 0.500
7 Fe 0.667 0.333 0.500

Top 8 peaks for 2θ from 5° to 70°, in order of rising 2θ:
d/Å	intensity
4.358	46
3.649	25
2.798	23
2.107	100
1.897	42
1.871	85
1.683	10
1.399	22


(2)
This entry pairs a crystal structure of Sr3Ga9Rh2 with its simulated X-ray powder pattern. Radiation: Cu Kα X-rays. Structure: a cell relaxed with GGA-PBE.

Structure:
Lattice parameters (Å, degrees): 8.530 8.530 8.530 150.26 105.77 81.95
Positions (direct):
1 Sr 0.000 0.000 0.000
2 Sr 0.317 0.317 0.000
3 Sr 0.683 0.683 0.000
4 Ga 0.026 0.673 0.353
5 Ga 0.165 0.883 0.282
6 Ga 0.321 0.673 0.647
7 Ga 0.399 0.117 0.282
8 Ga 0.500 0.000 0.500
9 Ga 0.601 0.883 0.718
10 Ga 0.679 0.327 0.353
11 Ga 0.835 0.117 0.718
12 Ga 0.974 0.327 0.647
13 Rh 0.266 0.500 0.766
14 Rh 0.734 0.500 0.234

Top 8 peaks for 2θ from 5° to 70°, in order of rising 2θ:
d/Å	intensity
2.701	45
2.681	24
2.634	100
2.491	21
2.220	34
2.189	54
2.039	31
1.497	28


(3)
This entry pairs a crystal structure of Dy2TmIn4 with its simulated X-ray powder pattern. Radiation: Cu Kα X-rays. Structure: a cell relaxed with GGA-PBE.

Structure:
Lattice parameters (Å, degrees): 8.148 8.148 8.148 142.58 142.58 53.95
Positions (direct):
1 Dy 0.250 0.250 0.000
2 Dy 0.750 0.750 0.000
3 Tm 0.000 0.000 0.000
4 In 0.114 0.614 0.500
5 In 0.386 0.886 0.500
6 In 0.614 0.114 0.500
7 In 0.886 0.386 0.500

Top 8 peaks for 2θ from 5° to 70°, in order of rising 2θ:
d/Å	intensity
4.918	16
3.294	10
2.613	53
2.590	100
1.848	19
1.815	8
1.504	37
1.491	16


(4)
This entry pairs a crystal structure of Tb2PmNdDy6 with its simulated X-ray powder pattern. Radiation: Cu Kα X-rays. Structure: a cell relaxed with GGA-PBE.

Structure:
Lattice parameters (Å, degrees): 8.807 8.807 9.623 93.95 93.95 117.79
Positions (direct):
1 Tb 0.195 0.298 0.045
2 Tb 0.298 0.195 0.545
3 Tb 0.702 0.805 0.455
4 Tb 0.805 0.702 0.955
5 Pm 0.408 0.592 0.750
6 Pm 0.592 0.408 0.250
7 Nd 0.025 0.975 0.250
8 Nd 0.975 0.025 0.750
9 Dy 0.023 0.569 0.182
10 Dy 0.121 0.748 0.557
11 Dy 0.252 0.879 0.943
12 Dy 0.293 0.508 0.381
13 Dy 0.431 0.977 0.318
14 Dy 0.492 0.707 0.119
15 Dy 0.508 0.293 0.881
16 Dy 0.569 0.023 0.682
17 Dy 0.707 0.492 0.619
18 Dy 0.748 0.121 0.057
19 Dy 0.879 0.252 0.443
20 Dy 0.977 0.431 0.818

Top 8 peaks for 2θ from 5° to 70°, in order of rising 2θ:
d/Å	intensity
3.130	36
2.928	100
2.860	43
2.850	61
2.836	35
2.772	21
2.658	45
2.607	14